Calculated powder diffraction line list of Rb6ZnCoO5 for Cu Kα (weighted mean of Kα1 and Kα2), from a cell relaxed with PBE+U.
Intensities are scaled so that the largest is 100.

Largest 12 diffraction maxima, low angle first, 15° ≤ 2θ ≤ 90°:
2θ (°), I (rel.), (hkl)
25.77, 14.1, 1 3 0
29.22, 11.7, 1 3 1
29.41, 81.9, 2 2 0
30.09, 100.0, 0 4 0
32.78, 14.3, 2 2 1
35.60, 16.9, 2 0 -2
37.45, 38.1, 2 0 2
38.79, 10.2, 2 2 -2
40.61, 10.8, 3 1 -1
47.96, 15.5, 1 5 -2
48.77, 11.7, 2 4 2
55.14, 10.7, 2 6 1

Crystal structure
Cell lengths 7.070, 11.893, 6.858 Å; angles 90.00, 92.84, 90.00 degrees
Space group Cm (No. 8)
Asymmetric unit:
Rb 0.000 0.000 0.000
Rb 0.149 0.264 0.304
Rb 0.150 0.290 0.811
Rb 0.296 0.000 0.628
Zn 0.455 0.000 0.117
Co 0.365 0.500 0.491
O 0.201 0.500 0.255
O 0.343 0.138 0.033
O 0.448 0.364 0.581